Structure and simulated PXRD pattern of LiNbO3 (a structure optimized by DFT (GGA-PBE); Cu Kα (λ = 1.5418 Å)).

Crystal structure
a b c (Å): 5.250 5.583 21.727
angles (deg): 94.77 90.02 117.98
Space group P1 (No. 1)
One atom of each set of equivalent atoms:
Li (0.000, 0.000, 0.000)
Li (0.001, 0.001, 0.714)
Li (0.201, 0.401, 0.314)
Li (0.300, 0.601, 0.614)
Li (0.301, 0.604, 0.902)
Li (0.500, 0.002, 0.214)
Li (0.601, 0.201, 0.514)
Li (0.698, 0.395, 0.814)
Li (0.800, 0.601, 0.115)
Li (0.900, 0.801, 0.414)
Nb (0.011, 0.015, 0.859)
Nb (0.116, 0.230, 0.158)
Nb (0.216, 0.433, 0.459)
Nb (0.313, 0.627, 0.758)
Nb (0.412, 0.819, 0.060)
Nb (0.517, 0.033, 0.359)
Nb (0.615, 0.231, 0.659)
Nb (0.699, 0.406, 0.961)
Nb (0.815, 0.632, 0.259)
Nb (0.917, 0.833, 0.559)
O (0.018, 0.398, 0.681)
O (0.019, 0.279, 0.806)
O (0.080, 0.550, 0.531)
O (0.081, 0.799, 0.781)
O (0.163, 0.079, 0.504)
O (0.171, 0.950, 0.631)
O (0.216, 0.679, 0.404)
O (0.217, 0.800, 0.282)
O (0.281, 0.952, 0.131)
O (0.282, 0.200, 0.382)
O (0.368, 0.487, 0.106)
O (0.370, 0.349, 0.230)
O (0.416, 0.081, 0.005)
O (0.416, 0.220, 0.881)
O (0.479, 0.349, 0.730)
O (0.501, 0.616, 0.982)
O (0.563, 0.878, 0.704)
O (0.566, 0.743, 0.830)
O (0.616, 0.479, 0.604)
O (0.618, 0.600, 0.482)
O (0.680, 0.750, 0.331)
O (0.682, 0.000, 0.582)
O (0.763, 0.279, 0.304)
O (0.771, 0.150, 0.431)
O (0.816, 0.879, 0.204)
O (0.817, 0.995, 0.082)
O (0.882, 0.399, 0.181)
O (0.898, 0.165, 0.931)
O (0.957, 0.677, 0.905)
O (0.970, 0.572, 0.031)

Largest 10 diffraction maxima, low angle first, 2θ from 10° to 80°:
two_theta  intensity
23.3  100.0
32.2  38.0
34.2  22.6
39.3  7.6
41.8  12.1
47.6  18.9
52.3  26.5
55.0  15.5
59.9  14.2
61.2  11.7